1.
This entry pairs a crystal structure of TbAl4NiPd2 with its theoretical X-ray powder pattern. Radiation: a wavelength of 1.5418 Å. Structure: a GGA-PBE-relaxed structure.

Largest 10 diffraction maxima, in order of rising 2θ, 5° ≤ 2θ ≤ 70°:
Position (°2θ)	d [Å]	I/Imax
27.9	3.194	100
29.8	2.998	31
36.9	2.437	84
41.5	2.177	12
42.8	2.114	82
51.9	1.762	30
53.6	1.709	13
57.7	1.597	22
61.1	1.517	23
69.4	1.354	20

Atomic structure:
Unit cell a=4.2272 b=4.2272 c=26.1284 alpha=90.00 beta=90.00 gamma=120.00
Space group R-3m (No. 166, hexagonal axes)
Inequivalent atoms, fractional coordinates:
Tb  0.0000  0.0000  0.0000 (multiplicity 3)
Al  0.0000  0.0000  0.1361 (multiplicity 6)
Al  0.0000  0.0000  0.4053 (multiplicity 6)
Ni  0.0000  0.0000  0.5000 (multiplicity 3)
Pd  0.0000  0.0000  0.2376 (multiplicity 6)

2.
This entry pairs a crystal structure of Y2AlAs with its theoretical X-ray powder pattern. Radiation: a wavelength of 1.5418 Å. Structure: a GGA-PBE-relaxed structure.

Largest 10 diffraction maxima, in order of rising 2θ, 5° ≤ 2θ ≤ 70°:
Position (°2θ)	d [Å]	I/Imax
27.7	3.223	16
31.7	2.826	100
32.3	2.770	36
32.9	2.720	28
39.6	2.277	49
40.1	2.249	18
42.1	2.146	24
45.4	2.000	20
56.8	1.621	14
63.6	1.462	26

Atomic structure:
Unit cell a=3.9998 b=4.2916 c=10.8810 alpha=90.00 beta=90.00 gamma=90.00
Space group Amm2 (No. 38)
Inequivalent atoms, fractional coordinates:
Y  0.0000  0.0000  0.0000 (multiplicity 2)
Y  0.5000  0.0000  0.2823 (multiplicity 2)
Al  0.5000  0.0000  0.5583 (multiplicity 2)
As  0.0000  0.0000  0.7222 (multiplicity 2)

3.
This entry pairs a crystal structure of Sr5Tl2Hg2 with its theoretical X-ray powder pattern. Radiation: a wavelength of 1.5418 Å. Structure: a GGA-PBE-relaxed structure.

Largest 10 diffraction maxima, in order of rising 2θ, 5° ≤ 2θ ≤ 70°:
Position (°2θ)	d [Å]	I/Imax
20.8	4.273	97
25.2	3.539	49
27.2	3.281	90
29.0	3.081	100
30.2	2.960	45
30.7	2.912	84
32.4	2.763	62
33.3	2.688	50
38.4	2.347	49
41.1	2.197	51

Atomic structure:
Unit cell a=17.7580 b=8.5702 c=8.8773 alpha=90.00 beta=90.00 gamma=90.00
Space group Cmce (No. 64)
Inequivalent atoms, fractional coordinates:
Sr  0.0000  0.0000  0.0000 (multiplicity 4)
Sr  0.1427  0.1697  0.3327 (multiplicity 16)
Tl  0.0000  0.1208  0.6287 (multiplicity 8)
Hg  0.2000  0.0000  0.0000 (multiplicity 8)

4.
This entry pairs a crystal structure of NdTmRu with its theoretical X-ray powder pattern. Radiation: a wavelength of 1.5418 Å. Structure: a GGA-PBE-relaxed structure.

Largest 10 diffraction maxima, in order of rising 2θ, 5° ≤ 2θ ≤ 70°:
Position (°2θ)	d [Å]	I/Imax
27.9	3.194	22
33.6	2.671	13
33.9	2.646	34
34.9	2.570	100
47.4	1.919	7
48.4	1.880	9
51.9	1.761	10
59.5	1.554	7
61.3	1.513	19
63.5	1.466	11

Atomic structure:
Unit cell a=3.5215 b=16.0248 c=5.2929 alpha=90.00 beta=90.00 gamma=90.00
Space group Cmcm (No. 63)
Inequivalent atoms, fractional coordinates:
Nd  0.0000  0.0728  0.2500 (multiplicity 4)
Tm  0.0000  0.2114  0.7500 (multiplicity 4)
Ru  0.0000  0.4213  0.2500 (multiplicity 4)

5.
This entry pairs a crystal structure of Pr3NpTe6 with its theoretical X-ray powder pattern. Radiation: a wavelength of 1.5418 Å. Structure: a GGA-PBE-relaxed structure.

Largest 10 diffraction maxima, in order of rising 2θ, 5° ≤ 2θ ≤ 70°:
Position (°2θ)	d [Å]	I/Imax
22.2	4.011	57
22.3	3.988	58
26.1	3.413	83
27.3	3.267	59
28.4	3.144	50
34.1	2.626	100
35.1	2.557	52
38.0	2.367	50
40.8	2.211	54
41.0	2.200	72

Atomic structure:
Unit cell a=7.4761 b=8.4146 c=13.6303 alpha=90.00 beta=122.83 gamma=90.00
Space group P2_1/c (No. 14)
Inequivalent atoms, fractional coordinates:
Pr  0.0000  0.0000  0.0000 (multiplicity 2)
Pr  0.3051  0.1199  0.7526 (multiplicity 4)
Np  0.5000  0.0000  0.5000 (multiplicity 2)
Te  0.0889  0.0542  0.2536 (multiplicity 4)
Te  0.2448  0.6743  0.0821 (multiplicity 4)
Te  0.4253  0.1787  0.0802 (multiplicity 4)

6.
This entry pairs a crystal structure of Tb2PuAl2Ru5 with its theoretical X-ray powder pattern. Radiation: a wavelength of 1.5418 Å. Structure: a GGA-PBE-relaxed structure.

Largest 10 diffraction maxima, in order of rising 2θ, 5° ≤ 2θ ≤ 70°:
Position (°2θ)	d [Å]	I/Imax
12.3	7.208	18
33.0	2.713	31
36.3	2.472	39
36.5	2.464	28
38.6	2.332	100
39.5	2.279	25
41.7	2.168	13
54.3	1.688	14
61.0	1.518	13
67.1	1.394	13

Atomic structure:
Unit cell a=10.1933 b=10.1933 c=3.3769 alpha=90.00 beta=90.00 gamma=90.00
Space group P4/mbm (No. 127)
Inequivalent atoms, fractional coordinates:
Tb  0.1704  0.3296  0.0000 (multiplicity 4)
Pu  0.0000  0.0000  0.0000 (multiplicity 2)
Al  0.1262  0.6262  0.0000 (multiplicity 4)
Ru  0.0000  0.5000  0.5000 (multiplicity 2)
Ru  0.0675  0.7987  0.5000 (multiplicity 8)

7.
This entry pairs a crystal structure of Sm5Tm2Mg with its theoretical X-ray powder pattern. Radiation: a wavelength of 1.5418 Å. Structure: a GGA-PBE-relaxed structure.

Largest 10 diffraction maxima, in order of rising 2θ, 5° ≤ 2θ ≤ 70°:
Position (°2θ)	d [Å]	I/Imax
7.7	11.504	47
30.0	2.981	63
31.1	2.876	100
31.2	2.863	89
31.4	2.850	41
32.9	2.719	88
33.1	2.708	39
35.0	2.563	67
51.5	1.775	50
61.4	1.511	69

Atomic structure:
Unit cell a=3.5697 b=23.0074 c=6.1391 alpha=90.00 beta=90.00 gamma=90.00
Space group Pmmn (No. 59, origin choice 2)
Inequivalent atoms, fractional coordinates:
Sm  0.2500  0.1214  0.0836 (multiplicity 4)
Sm  0.2500  0.6290  0.4172 (multiplicity 4)
Sm  0.2500  0.7500  0.0720 (multiplicity 2)
Tm  0.2500  0.0019  0.7482 (multiplicity 4)
Mg  0.2500  0.2500  0.4195 (multiplicity 2)

8.
This entry pairs a crystal structure of Ac2MnGe6 with its theoretical X-ray powder pattern. Radiation: a wavelength of 1.5418 Å. Structure: a GGA-PBE-relaxed structure.

Largest 10 diffraction maxima, in order of rising 2θ, 5° ≤ 2θ ≤ 70°:
Position (°2θ)	d [Å]	I/Imax
23.0	3.862	41
27.1	3.290	35
30.0	2.983	13
32.6	2.750	42
34.1	2.626	30
35.9	2.504	100
40.8	2.210	31
55.9	1.645	27
62.2	1.491	16
67.1	1.394	22

Atomic structure:
Unit cell a=6.5802 b=6.5802 c=10.5023 alpha=90.00 beta=90.00 gamma=120.00
Space group P6_3mc (No. 186)
Inequivalent atoms, fractional coordinates:
Ac  0.0000  0.0000  0.0000 (multiplicity 2)
Ac  0.3333  0.6667  0.2385 (multiplicity 2)
Mn  0.3333  0.6667  0.5867 (multiplicity 2)
Ge  0.0447  0.5224  0.9686 (multiplicity 6)
Ge  0.1814  0.3627  0.7606 (multiplicity 6)